Entry 1:
Structure and computed X-ray powder pattern of BaSrSi4N4O4 (a DFT-relaxed cell (GGA-PBE, the Materials Project); copper Kα).

Cell and atoms:
```
BaSrSi4N4O4
1.0
7.349 0.000 0.000
0.851 7.347 0.000
1.713 0.065 7.249
Ba Sr Si N O
2 2 8 8 8
Direct
0.000 0.000 0.000
0.004 0.493 0.968
0.498 0.492 0.994
0.508 0.991 0.959
0.083 0.483 0.426
0.174 0.077 0.429
0.285 0.733 0.624
0.379 0.325 0.623
0.575 0.986 0.424
0.670 0.580 0.424
0.782 0.235 0.621
0.875 0.825 0.616
0.002 0.266 0.482
0.103 0.893 0.581
0.225 0.515 0.582
0.374 0.141 0.488
0.501 0.769 0.483
0.604 0.398 0.577
0.727 0.018 0.571
0.880 0.642 0.471
0.199 0.493 0.216
0.222 0.016 0.216
0.292 0.739 0.844
0.326 0.267 0.843
0.672 0.002 0.208
0.695 0.521 0.212
0.775 0.244 0.843
0.803 0.769 0.834
```

Largest 10 diffraction maxima, in order of falling intensity, 15° ≤ 2θ ≤ 90°:
| hkl | d/Å | I_rel |
| --- | --- | --- |
| 0 0 2 | 3.624 | 100 |
| 0 2 -1 | 3.265 | 80 |
| 0 2 0 | 3.673 | 80 |
| 2 0 2 | 2.887 | 77 |
| 2 0 -1 | 2.938 | 75 |
| 0 2 1 | 3.292 | 56 |
| 2 -2 1 | 2.412 | 54 |
| 2 2 1 | 2.701 | 50 |
| 2 -2 0 | 2.424 | 49 |
| 0 2 2 | 2.592 | 43 |



Entry 2:
Structure and computed X-ray powder pattern of BaTaNO2 (a DFT-relaxed cell (GGA-PBE, the Materials Project); copper Kα).

Cell and atoms:
```
BaTaNO2
1.0
4.134 0.000 0.000
0.000 4.134 0.000
0.000 0.000 4.143
Ba Ta N O
1 1 1 2
Direct
0.000 0.000 0.000
0.500 0.500 0.500
0.500 0.500 0.000
0.000 0.500 0.500
0.500 0.000 0.500
```

Largest 10 diffraction maxima, in order of falling intensity, 15° ≤ 2θ ≤ 90°:
| hkl | d/Å | I_rel |
| --- | --- | --- |
| 1 0 1 | 2.925 | 100 |
| 2 1 1 | 1.689 | 41 |
| 2 0 0 | 2.067 | 18 |
| 2 2 0 | 1.463 | 17 |
| 2 1 3 | 1.106 | 15 |
| 3 0 1 | 1.307 | 12 |
| 0 0 2 | 2.072 | 9 |
| 3 2 1 | 1.105 | 7 |
| 1 0 3 | 1.310 | 6 |
| 2 2 2 | 1.194 | 6 |



Entry 3:
Structure and computed X-ray powder pattern of Ba3ZnN2O (a DFT-relaxed cell (GGA-PBE, the Materials Project); copper Kα).

Cell and atoms:
```
Ba3ZnN2O
1.0
4.150 0.000 0.000
0.000 4.150 0.000
0.000 0.000 9.293
Ba Zn N O
3 1 2 1
Direct
0.000 0.000 0.000
0.500 0.500 0.282
0.500 0.500 0.718
0.000 0.000 0.500
0.000 0.000 0.301
0.000 0.000 0.699
0.500 0.500 0.000
```

Largest 10 diffraction maxima, in order of falling intensity, 15° ≤ 2θ ≤ 90°:
| hkl | d/Å | I_rel |
| --- | --- | --- |
| 1 0 2 | 3.095 | 100 |
| 1 1 0 | 2.934 | 63 |
| 2 1 2 | 1.724 | 40 |
| 2 0 0 | 2.075 | 23 |
| 1 1 4 | 1.821 | 22 |
| 3 1 0 | 1.313 | 15 |
| 1 1 3 | 2.130 | 12 |
| 2 0 4 | 1.548 | 12 |
| 0 0 4 | 2.323 | 10 |
| 3 1 4 | 1.143 | 9 |